Computed powder XRD pattern of LiGaGe2N4 for Cu Kα X-rays, from a structure optimized by DFT (GGA-PBE).
Lines closer than 0.1° are merged.

Principal peaks in the range 10 to 80 degrees two-theta, by intensity:
two_theta, I/Imax
34.74, 100
57.93, 29
22.34, 27
70.51, 24
40.89, 18
59.20, 14

Structural model:
```
LiGaGe2N4
1.0
-2.2071 2.2071 4.5963
2.2071 -2.2071 4.5963
2.2071 2.2071 -4.5963
Li Ga Ge N
1 1 2 4
Direct
0.0000 0.0000 0.0000
0.5000 0.5000 0.0000
0.2500 0.7500 0.5000
0.7500 0.2500 0.5000
0.1236 0.1236 0.5137
0.3901 0.8764 0.0000
0.6099 0.6099 0.4863
0.8764 0.3901 0.0000
```

=====

Computed powder XRD pattern of NaLiGa2Ge2 for Cu Kα X-rays, from a structure optimized by DFT (GGA-PBE).
Lines closer than 0.1° are merged.

Principal peaks in the range 10 to 80 degrees two-theta, by intensity:
two_theta, I/Imax
33.06, 100
42.70, 94
24.27, 56
22.12, 52
41.75, 51
11.01, 41

Structural model:
```
NaLiGa2Ge2
1.0
4.2349 0.0000 0.0000
-2.1175 3.6676 0.0000
0.0000 0.0000 8.0390
Na Li Ga Ge
1 1 2 2
Direct
0.0000 0.0000 0.0000
0.0000 0.0000 0.5000
0.3333 0.6667 0.6570
0.6667 0.3333 0.3430
0.3333 0.6667 0.2601
0.6667 0.3333 0.7399
```

=====

Computed powder XRD pattern of Li2NdGaGe2 for Cu Kα X-rays, from a structure optimized by DFT (GGA-PBE).
Lines closer than 0.1° are merged.

Principal peaks in the range 10 to 80 degrees two-theta, by intensity:
two_theta, I/Imax
11.06, 100
34.41, 71
43.33, 44
33.33, 43
26.96, 35
25.37, 23

Structural model:
```
Li2NdGaGe2
1.0
4.1806 0.0000 0.0000
0.0000 7.9970 0.0000
0.0000 0.0000 7.3339
Li Nd Ga Ge
4 2 2 4
Direct
0.0000 0.0675 0.0000
0.0000 0.9325 0.5000
0.5000 0.1668 0.3230
0.5000 0.8332 0.8230
0.5000 0.4273 0.9458
0.5000 0.5727 0.4458
0.0000 0.3051 0.6020
0.0000 0.6949 0.1020
0.0000 0.3630 0.2361
0.0000 0.6370 0.7361
0.5000 0.1367 0.6876
0.5000 0.8633 0.1876
```

=====

Computed powder XRD pattern of LiGaGeO4 for Cu Kα X-rays, from a structure optimized by DFT (GGA-PBE).
Lines closer than 0.1° are merged.

Principal peaks in the range 10 to 80 degrees two-theta, by intensity:
two_theta, I/Imax
18.35, 100
18.55, 79
43.54, 63
35.64, 44
63.10, 39
43.32, 32

Structural model:
```
LiGaGeO4
1.0
-2.9160 2.9632 4.1774
2.9160 -2.9632 4.1774
2.9160 2.9632 -4.1774
Li Ga Ge O
2 2 2 8
Direct
0.3680 0.1180 0.2500
0.6320 0.8820 0.7500
0.0000 0.5000 0.5000
0.5000 0.5000 0.0000
0.0000 0.0000 0.5000
0.0000 0.5000 0.0000
0.2150 0.7441 0.4709
0.2269 0.2559 0.9709
0.2290 0.2489 0.5199
0.2290 0.7092 0.9801
0.7710 0.2908 0.0199
0.7710 0.7511 0.4801
0.7731 0.7441 0.0291
0.7850 0.2559 0.5291
```

=====

Computed powder XRD pattern of Li5GaGe2O8 for Cu Kα X-rays, from a structure optimized by DFT (GGA-PBE).
Lines closer than 0.1° are merged.

Principal peaks in the range 10 to 80 degrees two-theta, by intensity:
two_theta, I/Imax
21.38, 100
22.09, 71
32.24, 71
34.74, 54
15.96, 51
23.47, 45

Structural model:
```
Li5GaGe2O8
1.0
5.1651 0.0000 0.0000
0.0000 10.8567 0.0000
-0.0364 0.0000 6.4624
Li Ga Ge O
10 2 4 16
Direct
0.0442 0.0000 0.4806
0.0571 0.2382 0.2563
0.0660 0.2429 0.7466
0.4334 0.9070 0.2365
0.4355 0.1593 0.9989
0.5645 0.6593 0.0011
0.5666 0.4070 0.7635
0.9340 0.7429 0.2534
0.9429 0.7382 0.7437
0.9558 0.5000 0.5194
0.4344 0.9120 0.7420
0.5656 0.4120 0.2580
0.0520 0.4927 0.9985
0.4221 0.6668 0.4830
0.5779 0.1668 0.5170
0.9480 0.9927 0.0015
0.0473 0.1452 0.0022
0.0470 0.9126 0.2208
0.0697 0.9138 0.7708
0.0859 0.6639 0.4999
0.4068 0.4833 0.0264
0.4528 0.2400 0.7329
0.4560 0.2481 0.2850
0.4609 0.0082 0.5000
0.5391 0.5082 0.5000
0.5440 0.7481 0.7150
0.5472 0.7400 0.2671
0.5932 0.9833 0.9736
0.9141 0.1639 0.5001
0.9303 0.4138 0.2292
0.9530 0.4126 0.7792
0.9527 0.6452 0.9978
```

=====

Computed powder XRD pattern of LuMn6GaGe5 for Cu Kα X-rays, from a structure optimized by DFT (GGA-PBE).
Lines closer than 0.1° are merged.

Principal peaks in the range 10 to 80 degrees two-theta, by intensity:
two_theta, I/Imax
41.51, 100
34.85, 77
40.46, 50
38.87, 45
46.44, 35
79.96, 31

Structural model:
```
LuMn6GaGe5
1.0
5.1489 0.0000 0.0000
-2.5745 4.4591 0.0000
0.0000 0.0000 8.1361
Lu Mn Ga Ge
1 6 1 5
Direct
0.0000 0.0000 0.0000
0.0000 0.5000 0.2426
0.0000 0.5000 0.7449
0.5000 0.0000 0.2426
0.5000 0.0000 0.7449
0.5000 0.5000 0.2426
0.5000 0.5000 0.7449
0.0000 0.0000 0.3414
0.0000 0.0000 0.6583
0.3333 0.6667 0.4918
0.3333 0.6667 0.9948
0.6667 0.3333 0.4918
0.6667 0.3333 0.9948
```

=====

Computed powder XRD pattern of Mg8Ga3Ge2 for Cu Kα X-rays, from a structure optimized by DFT (GGA-PBE).
Lines closer than 0.1° are merged.

Principal peaks in the range 10 to 80 degrees two-theta, by intensity:
two_theta, I/Imax
38.72, 100
23.70, 28
23.48, 28
39.29, 24
39.84, 24
57.19, 16

Structural model:
```
Mg8Ga3Ge2
1.0
4.5865 -6.7227 0.0000
4.5865 6.7227 0.0000
0.0000 0.0000 4.5251
Mg Ga Ge
8 3 2
Direct
0.1175 0.3770 0.5000
0.1192 0.8808 0.0000
0.3624 0.6376 0.0000
0.3770 0.1175 0.5000
0.6230 0.8825 0.5000
0.6376 0.3624 0.0000
0.8808 0.1192 0.0000
0.8825 0.6230 0.5000
0.2577 0.2577 0.0000
0.5000 0.5000 0.5000
0.7423 0.7423 0.0000
0.2447 0.7553 0.5000
0.7553 0.2447 0.5000
```

=====

Computed powder XRD pattern of Mg8Ga2Ge for Cu Kα X-rays, from a structure optimized by DFT (GGA-PBE).
Lines closer than 0.1° are merged.

Principal peaks in the range 10 to 80 degrees two-theta, by intensity:
two_theta, I/Imax
37.27, 100
38.49, 77
23.71, 68
39.68, 67
21.47, 61
22.48, 52

Structural model:
```
Mg8Ga2Ge
1.0
8.1944 -2.2714 0.0000
8.1944 2.2714 0.0000
-2.4189 0.0000 6.2099
Mg Ga Ge
8 2 1
Direct
0.0262 0.0262 0.2814
0.2026 0.2026 0.8002
0.3335 0.3335 0.5488
0.4063 0.4063 0.0465
0.5937 0.5937 0.9535
0.6665 0.6665 0.4512
0.7974 0.7974 0.1998
0.9738 0.9738 0.7186
0.1780 0.1780 0.1880
0.8220 0.8220 0.8120
0.5000 0.5000 0.5000
```